The following is a theoretical X-ray diffraction stick pattern of RbCoHg. It was derived from a DFT-relaxed cell (PBE, OQMD), using λ = 1.5418 Å (Cu Kα).

Cell and atoms:
```
3
Lattice="0.000 3.608 3.608 3.608 0.000 3.608 3.608 3.608 0.000" Properties=species:S:1:pos:R:3 pbc="T T T"
Rb 0.000 0.000 0.000
Co 5.413 5.413 5.413
Hg 3.608 3.608 3.608
```

Largest 10 diffraction maxima, in order of rising 2θ, 2θ from 10° to 90°:
2theta	I (rel.)
21.32	31
24.67	51
35.17	100
41.50	18
43.44	16
50.59	18
57.07	21
63.11	36
74.35	11
85.00	16